The following is a theoretical powder diffraction line list of TmMgHg2. It was derived from DFT lattice parameters and positions (GGA-PBE), using Cu Kα (weighted mean of Kα1 and Kα2).

Largest 6 diffraction maxima, by angle, 2θ = 10–90°:
| d (Å) | I_rel | index |
| --- | --- | --- |
| 4.122 | 13.3 | 1 1 1 |
| 3.570 | 14.6 | 2 0 0 |
| 2.524 | 100.0 | 2 2 0 |
| 1.785 | 18.0 | 4 0 0 |
| 1.457 | 37.1 | 4 2 2 |
| 1.129 | 17.0 | 6 2 0 |

Structure:
Cell: 7.140 7.140 7.140 Å, 90.00 90.00 90.00°
Space group Fm-3m (No. 225)
One atom of each set of equivalent atoms:
1 Tm 0.000 0.000 0.000 [4 per cell]
2 Mg 0.000 0.000 0.500 [4 per cell]
3 Hg 0.250 0.250 0.250 [8 per cell]

The following is a theoretical powder diffraction line list of NdIn2Ir. It was derived from DFT lattice parameters and positions (GGA-PBE), using Cu Kα (weighted mean of Kα1 and Kα2).

Largest 6 diffraction maxima, by angle, 2θ = 10–90°:
| d (Å) | I_rel | index |
| --- | --- | --- |
| 2.868 | 99.5 | 1 1 2 |
| 2.588 | 100.0 | 1 3 1 |
| 2.478 | 40.6 | 0 4 1 |
| 2.263 | 37.2 | 1 3 2 |
| 2.246 | 47.9 | 1 1 3 |
| 2.214 | 48.4 | 2 0 0 |

Structure:
Cell: 4.428 10.414 8.073 Å, 90.00 90.00 90.00°
Space group Cmcm (No. 63)
One atom of each set of equivalent atoms:
1 Nd 0.000 0.070 0.250 [4 per cell]
2 In 0.000 0.355 0.051 [8 per cell]
3 Ir 0.000 0.219 0.750 [4 per cell]

The following is a theoretical powder diffraction line list of PdN2Cl4. It was derived from DFT lattice parameters and positions (GGA-PBE), using Cu Kα (weighted mean of Kα1 and Kα2).

Largest 6 diffraction maxima, by angle, 2θ = 10–90°:
| d (Å) | I_rel | index |
| --- | --- | --- |
| 6.928 | 100.0 | 1 0 0 |
| 3.569 | 34.4 | 0 0 1 |
| 3.173 | 30.3 | 1 0 1 |
| 2.885 | 28.8 | 1 1 1 |
| 2.449 | 34.3 | 2 2 0 |
| 2.020 | 24.0 | 2 2 1 |

Structure:
Cell: 6.928 6.928 3.569 Å, 90.00 90.00 90.00°
Space group P4/mmm (No. 123)
One atom of each set of equivalent atoms:
1 Pd 0.000 0.000 0.000 [1 per cell]
2 N 0.000 0.500 0.500 [2 per cell]
3 Cl 0.232 0.232 0.000 [4 per cell]

The following is a theoretical powder diffraction line list of Na3BP2. It was derived from DFT lattice parameters and positions (GGA-PBE), using Cu Kα (weighted mean of Kα1 and Kα2).

Largest 6 diffraction maxima, by angle, 2θ = 10–90°:
| d (Å) | I_rel | index |
| --- | --- | --- |
| 3.793 | 100.0 | 1 2 0 |
| 3.036 | 58.5 | 2 1 -2 |
| 2.803 | 88.1 | 1 3 0 |
| 2.643 | 58.5 | 2 2 -2 |
| 2.585 | 78.3 | 1 2 2 |
| 2.289 | 75.9 | 1 0 -4 |

Structure:
Cell: 7.009 9.306 9.161 Å, 90.00 110.92 90.00°
Space group P2_1/c (No. 14)
One atom of each set of equivalent atoms:
1 Na 0.222 0.027 0.389 [4 per cell]
2 Na 0.243 0.069 0.978 [4 per cell]
3 Na 0.264 0.713 0.182 [4 per cell]
4 B 0.225 0.171 0.682 [4 per cell]
5 P 0.003 0.724 0.365 [4 per cell]
6 P 0.447 0.061 0.732 [4 per cell]

> What is the formula in the second record?

NdIn2Ir

> What is the formula in the first record?

TmMgHg2